Structure and simulated powder diffraction line list of AgP (a cell relaxed with GGA-PBE; Cu Kα (weighted mean of Kα1 and Kα2)).
Peak positions follow from Bragg's law for the DFT cell and can differ from measured ones.

Structural model:
```
data_AgP
_cell_length_a 8.1397
_cell_length_b 4.5649
_cell_length_c 7.0154
_cell_angle_alpha 90.00
_cell_angle_beta 90.00
_cell_angle_gamma 90.00
_symmetry_space_group_name_H-M 'P m n 21'
_symmetry_Int_Tables_number 31
_symmetry_space_group_name_Hall 'P 2ac -2'
loop_
_atom_site_label
_atom_site_type_symbol
_atom_site_fract_x
_atom_site_fract_y
_atom_site_fract_z
Ag1 Ag 0.0000 0.0946 0.0000
Ag2 Ag 0.1857 0.2431 0.6378
P1 P 0.0000 0.9647 0.3730
P2 P 0.2099 0.7265 0.4782
```

Top 10 peaks for 10 to 90 degrees two-theta, most intense first:
hkl 3 0 1, 35.47 deg, d 2.531, intensity 1000; hkl 0 1 1, 23.25 deg, d 3.826, intensity 998; hkl 2 1 1, 32.12 deg, d 2.787, intensity 796; hkl 0 1 3, 43.48 deg, d 2.081, intensity 608; hkl 0 0 2, 25.39 deg, d 3.508, intensity 567; hkl 3 1 2, 46.77 deg, d 1.942, intensity 543; hkl 1 1 0, 22.33 deg, d 3.982, intensity 524; hkl 2 0 2, 33.73 deg, d 2.657, intensity 399; hkl 0 2 2, 47.51 deg, d 1.914, intensity 377; hkl 0 1 0, 19.45 deg, d 4.565, intensity 350